Theoretical powder X-ray diffraction pattern of ZnNi4Rh4 for Cu Kα, 1.54184 Å, from a DFT-relaxed cell (PBE, Alexandria).

Principal peaks in the range 10 to 90 degrees two-theta, by intensity:
2θ/deg	I/Imax
42.03	100.0
48.74	32.0
86.46	22.9
71.85	19.0
49.31	15.5
87.32	11.3
71.40	9.6
26.61	3.5
22.43	2.5
35.07	1.7

Atomic structure:
a = 5.902 Å, b = 5.902 Å, c = 5.902 Å
α = 95.63°, β = 95.63°, γ = 143.50°
Fractional coordinates of all 9 atoms:
Zn 0.000 0.000 0.000
Ni 0.000 0.340 0.340
Ni 0.000 0.660 0.660
Ni 0.340 0.000 0.340
Ni 0.660 0.000 0.660
Rh 0.332 0.332 0.663
Rh 0.332 0.668 0.000
Rh 0.668 0.332 0.000
Rh 0.668 0.668 0.337